Record 1
# NaBi6Pd5
Calculated powder diffractogram, Cu Ka. Input: DFT lattice parameters and positions (GGA-PBE).
Kinematic intensities with the Lorentz-polarization factor, no thermal factor.

Top 10 peaks for 2θ from 10° to 90°, by angle:
d (Å), I_rel
3.830, 148
3.195, 287
2.870, 1000
2.845, 726
2.408, 343
2.336, 208
2.178, 518
2.172, 166
2.146, 200
1.894, 227

Crystal structure
abc: 6.6454 6.6454 7.9806
angles: 97.90 97.90 121.26
Fractional coordinates of all 12 atoms:
Na: 0.0000 0.0000 0.0000
Bi: 0.0996 0.4873 0.2896
Bi: 0.3179 0.3179 0.7725
Bi: 0.4873 0.0996 0.2896
Bi: 0.5127 0.9004 0.7104
Bi: 0.6821 0.6821 0.2275
Bi: 0.9004 0.5127 0.7104
Pd: 0.1214 0.8786 0.5000
Pd: 0.3017 0.6983 0.0000
Pd: 0.5000 0.5000 0.5000
Pd: 0.6983 0.3017 0.0000
Pd: 0.8786 0.1214 0.5000

=====

Record 2
# La7Pm2Nd3
Calculated powder diffractogram, Cu Ka. Input: DFT lattice parameters and positions (GGA-PBE).
Kinematic intensities with the Lorentz-polarization factor, no thermal factor.

Top 10 peaks for 2θ from 10° to 90°, by angle:
d (Å), I_rel
3.104, 537
3.020, 776
3.001, 1000
2.952, 962
2.772, 641
2.658, 860
2.442, 241
1.886, 388
1.584, 245
1.552, 282

Crystal structure
abc: 6.6231 3.6279 18.1014
angles: 90.00 95.81 90.00
Fractional coordinates of all 12 atoms:
La: 0.0000 0.0000 0.0000
La: 0.2211 0.5000 0.1703
La: 0.2605 0.5000 0.4913
La: 0.2755 0.0000 0.8330
La: 0.7245 0.0000 0.1670
La: 0.7395 0.5000 0.5087
La: 0.7789 0.5000 0.8297
Pm: 0.0607 0.5000 0.6687
Pm: 0.9393 0.5000 0.3313
Nd: 0.4528 0.0000 0.3365
Nd: 0.5000 0.5000 0.0000
Nd: 0.5472 0.0000 0.6635

=====

Record 3
# Pu3Bi3Sb2
Calculated powder diffractogram, Cu Ka. Input: DFT lattice parameters and positions (GGA-PBE).
Kinematic intensities with the Lorentz-polarization factor, no thermal factor.

Top 10 peaks for 2θ from 10° to 90°, by angle:
d (Å), I_rel
3.139, 248
2.997, 202
2.705, 1000
2.643, 177
2.589, 364
2.151, 140
2.076, 107
1.716, 268
1.483, 108
1.416, 213

Crystal structure
abc: 9.1562 9.1562 6.2785
angles: 90.00 90.00 120.00
Fractional coordinates of all 16 atoms:
Pu: 0.0000 0.3990 0.2500
Pu: 0.0000 0.6010 0.7500
Pu: 0.3990 0.0000 0.2500
Pu: 0.3990 0.3990 0.7500
Pu: 0.6010 0.0000 0.7500
Pu: 0.6010 0.6010 0.2500
Bi: 0.0000 0.2264 0.7500
Bi: 0.0000 0.7736 0.2500
Bi: 0.2264 0.0000 0.7500
Bi: 0.2264 0.2264 0.2500
Bi: 0.7736 0.0000 0.2500
Bi: 0.7736 0.7736 0.7500
Sb: 0.3333 0.6667 0.0000
Sb: 0.3333 0.6667 0.5000
Sb: 0.6667 0.3333 0.0000
Sb: 0.6667 0.3333 0.5000

=====

Record 4
# K2PtC4S4N4
Calculated powder diffractogram, Cu Ka. Input: DFT lattice parameters and positions (GGA-PBE).
Kinematic intensities with the Lorentz-polarization factor, no thermal factor.

Top 10 peaks for 2θ from 10° to 90°, by angle:
d (Å), I_rel
6.229, 588
4.550, 633
4.454, 447
4.086, 1000
3.993, 543
3.807, 528
3.667, 517
3.550, 524
3.209, 581
3.162, 789

Crystal structure
abc: 4.4585 14.6636 12.4705
angles: 90.00 92.53 90.00
Fractional coordinates of all 30 atoms:
K: 0.1972 0.2055 0.0964
K: 0.1972 0.2945 0.5964
K: 0.8028 0.7055 0.4036
K: 0.8028 0.7945 0.9036
Pt: 0.5000 0.0000 0.0000
Pt: 0.5000 0.5000 0.5000
C: 0.2933 0.7006 0.1737
C: 0.2933 0.7994 0.6737
C: 0.3377 0.0298 0.7600
C: 0.3377 0.4702 0.2600
C: 0.6623 0.5298 0.7400
C: 0.6623 0.9702 0.2400
C: 0.7067 0.2006 0.3263
C: 0.7067 0.2994 0.8263
S: 0.2539 0.0425 0.6363
S: 0.2539 0.4575 0.1363
S: 0.3074 0.6792 0.0456
S: 0.3074 0.8208 0.5456
S: 0.6926 0.1792 0.4544
S: 0.6926 0.3208 0.9544
S: 0.7461 0.5425 0.8637
S: 0.7461 0.9575 0.3637
N: 0.2836 0.7133 0.2676
N: 0.2836 0.7867 0.7676
N: 0.4025 0.0189 0.8539
N: 0.4025 0.4811 0.3539
N: 0.5975 0.5189 0.6461
N: 0.5975 0.9811 0.1461
N: 0.7164 0.2133 0.2324
N: 0.7164 0.2867 0.7324

=====

Record 5
# K4I2O9
Calculated powder diffractogram, Cu Ka. Input: DFT lattice parameters and positions (GGA-PBE).
Kinematic intensities with the Lorentz-polarization factor, no thermal factor.

Top 10 peaks for 2θ from 10° to 90°, by angle:
d (Å), I_rel
7.971, 157
5.414, 171
5.127, 1000
3.210, 323
3.126, 653
2.747, 249
2.239, 278
1.743, 122
1.722, 162
1.563, 140

Crystal structure
abc: 6.2520 6.2520 15.9413
angles: 90.00 90.00 120.00
Fractional coordinates of all 30 atoms:
K: 0.0000 0.0000 0.0000
K: 0.0000 0.0000 0.2500
K: 0.0000 0.0000 0.5000
K: 0.0000 0.0000 0.7500
K: 0.3333 0.6667 0.1025
K: 0.3333 0.6667 0.3975
K: 0.6667 0.3333 0.6025
K: 0.6667 0.3333 0.8975
I: 0.3333 0.6667 0.6585
I: 0.3333 0.6667 0.8415
I: 0.6667 0.3333 0.1585
I: 0.6667 0.3333 0.3415
O: 0.0655 0.5328 0.7500
O: 0.1848 0.3696 0.6044
O: 0.1848 0.3696 0.8956
O: 0.1848 0.8152 0.6044
O: 0.1848 0.8152 0.8956
O: 0.3696 0.1848 0.1044
O: 0.3696 0.1848 0.3956
O: 0.4672 0.5328 0.7500
O: 0.4672 0.9345 0.7500
O: 0.5328 0.0655 0.2500
O: 0.5328 0.4672 0.2500
O: 0.6304 0.8152 0.6044
O: 0.6304 0.8152 0.8956
O: 0.8152 0.1848 0.1044
O: 0.8152 0.1848 0.3956
O: 0.8152 0.6304 0.1044
O: 0.8152 0.6304 0.3956
O: 0.9345 0.4672 0.2500

=====

Record 6
# NaAl2I6
Calculated powder diffractogram, Cu Ka. Input: DFT lattice parameters and positions (GGA-PBE).
Kinematic intensities with the Lorentz-polarization factor, no thermal factor.

Top 10 peaks for 2θ from 10° to 90°, by angle:
d (Å), I_rel
4.150, 348
3.869, 131
3.507, 1000
2.830, 192
2.251, 290
2.234, 224
1.967, 254
1.884, 159
1.520, 104
1.440, 123

Crystal structure
abc: 9.4266 9.4266 9.4266
angles: 48.46 48.46 48.46
Fractional coordinates of all 9 atoms:
Na: 0.0000 0.0000 0.0000
Al: 0.6119 0.6119 0.6119
Al: 0.7234 0.7234 0.7234
I: 0.0624 0.7598 0.4257
I: 0.2654 0.5902 0.9022
I: 0.4257 0.0624 0.7598
I: 0.5902 0.9022 0.2654
I: 0.7598 0.4257 0.0624
I: 0.9022 0.2654 0.5902